For Pm4PdAu3, DFT lattice parameters and positions (PBE) gives the calculated powder X-ray diffraction pattern in this record (Cu Kα (λ = 1.5418 Å)).
Neutral-atom scattering factors, no anomalous dispersion.

Structural model:
Cell: 3.887 4.748 11.088 Å, 90.00 90.00 90.00°
Fractional positions:
Pm (0.000, 0.000, 0.000)
Pm (0.000, 0.500, 0.268)
Pm (0.500, 0.000, 0.489)
Pm (0.500, 0.500, 0.771)
Pd (0.500, 0.000, 0.218)
Au (0.000, 0.000, 0.719)
Au (0.000, 0.500, 0.545)
Au (0.500, 0.500, 0.049)

Peak list (12 most intense, 2θ = 15–90°, low angle first)
d/Å	2θ (°)	intensity
2.903	30.81	100
2.772	32.29	30
2.678	33.46	14
2.394	37.57	26
2.374	37.90	36
2.333	38.60	84
1.943	46.74	20
1.803	50.63	17
1.509	61.46	13
1.504	61.69	18
1.363	68.92	15
1.248	76.31	15

---

For Pm2PdAu2, DFT lattice parameters and positions (PBE) gives the calculated powder X-ray diffraction pattern in this record (Cu Kα (λ = 1.5418 Å)).
Neutral-atom scattering factors, no anomalous dispersion.

Structural model:
Cell: 5.709 5.709 11.702 Å, 108.94 108.94 41.35°
Fractional positions:
Pm (0.005, 0.005, 0.340)
Pm (0.181, 0.181, 0.113)
Pm (0.819, 0.819, 0.887)
Pm (0.995, 0.995, 0.660)
Pd (0.300, 0.300, 0.694)
Pd (0.700, 0.700, 0.306)
Au (0.351, 0.351, 0.454)
Au (0.457, 0.457, 0.110)
Au (0.543, 0.543, 0.890)
Au (0.649, 0.649, 0.546)

Peak list (12 most intense, 2θ = 15–90°, low angle first)
d/Å	2θ (°)	intensity
2.919	30.62	34
2.803	31.93	100
2.667	33.60	31
2.652	33.79	39
2.432	36.97	25
2.367	38.02	87
2.287	39.41	22
2.193	41.16	33
2.015	44.98	37
1.605	57.43	18
1.426	65.47	20
1.221	78.33	19

---

For RbPdAu3S4, DFT lattice parameters and positions (PBE) gives the calculated powder X-ray diffraction pattern in this record (Cu Kα (λ = 1.5418 Å)).
Neutral-atom scattering factors, no anomalous dispersion.

Structural model:
Cell: 6.217 6.217 6.217 Å, 90.00 90.00 90.00°
Fractional positions:
Rb (0.000, 0.000, 0.000)
Pd (0.500, 0.500, 0.500)
Au (0.000, 0.500, 0.500)
Au (0.500, 0.000, 0.500)
Au (0.500, 0.500, 0.000)
S (0.282, 0.282, 0.282)
S (0.282, 0.718, 0.718)
S (0.718, 0.282, 0.718)
S (0.718, 0.718, 0.282)

Peak list (12 most intense, 2θ = 15–90°, low angle first)
d/Å	2θ (°)	intensity
3.590	24.80	100
3.109	28.72	67
2.780	32.19	17
2.198	41.06	95
2.072	43.68	13
1.875	48.57	50
1.795	50.88	20
1.554	59.47	15
1.426	65.43	20
1.390	67.36	28
1.269	74.81	30
1.197	80.23	16

---

For Sm3Si4Pd2Au2, DFT lattice parameters and positions (PBE) gives the calculated powder X-ray diffraction pattern in this record (Cu Kα (λ = 1.5418 Å)).
Neutral-atom scattering factors, no anomalous dispersion.

Structural model:
Cell: 12.798 12.798 12.798 Å, 161.22 160.88 26.93°
Fractional positions:
Sm (0.000, 0.000, 0.000)
Sm (0.355, 0.855, 0.500)
Sm (0.645, 0.145, 0.500)
Si (0.189, 0.689, 0.500)
Si (0.452, 0.452, 0.000)
Si (0.548, 0.548, 0.000)
Si (0.811, 0.311, 0.500)
Pd (0.094, 0.594, 0.500)
Pd (0.906, 0.406, 0.500)
Au (0.250, 0.250, 0.000)
Au (0.750, 0.750, 0.000)

Peak list (12 most intense, 2θ = 15–90°, low angle first)
d/Å	2θ (°)	intensity
3.784	23.51	10
3.112	28.69	14
2.707	33.09	20
2.687	33.35	100
2.126	42.52	18
2.088	43.34	17
1.998	45.40	11
1.672	54.91	9
1.490	62.34	12
1.379	67.98	10
1.312	71.98	11
1.294	73.15	10

---

For Sn5Pd13Au14, DFT lattice parameters and positions (PBE) gives the calculated powder X-ray diffraction pattern in this record (Cu Kα (λ = 1.5418 Å)).
Neutral-atom scattering factors, no anomalous dispersion.

Structural model:
Cell: 4.072 4.072 33.317 Å, 90.00 90.00 90.00°
Fractional positions:
Sn (0.000, 0.000, 0.000)
Sn (0.000, 0.000, 0.120)
Sn (0.000, 0.000, 0.238)
Sn (0.000, 0.000, 0.762)
Sn (0.000, 0.000, 0.880)
Pd (0.000, 0.500, 0.060)
Pd (0.000, 0.500, 0.181)
Pd (0.000, 0.500, 0.819)
Pd (0.000, 0.500, 0.940)
Pd (0.500, 0.000, 0.060)
Pd (0.500, 0.000, 0.181)
Pd (0.500, 0.000, 0.819)
Pd (0.500, 0.000, 0.940)
Pd (0.500, 0.500, 0.000)
Pd (0.500, 0.500, 0.121)
Pd (0.500, 0.500, 0.242)
Pd (0.500, 0.500, 0.758)
Pd (0.500, 0.500, 0.879)
Au (0.000, 0.000, 0.372)
Au (0.000, 0.000, 0.500)
Au (0.000, 0.000, 0.628)
Au (0.000, 0.500, 0.306)
Au (0.000, 0.500, 0.436)
Au (0.000, 0.500, 0.564)
Au (0.000, 0.500, 0.694)
Au (0.500, 0.000, 0.306)
Au (0.500, 0.000, 0.436)
Au (0.500, 0.000, 0.564)
Au (0.500, 0.000, 0.694)
Au (0.500, 0.500, 0.370)
Au (0.500, 0.500, 0.500)
Au (0.500, 0.500, 0.630)

Peak list (12 most intense, 2θ = 15–90°, low angle first)
d/Å	2θ (°)	intensity
2.464	36.47	13
2.368	37.99	100
2.221	40.62	5
2.082	43.46	14
2.036	44.50	36
1.501	61.81	6
1.456	63.95	18
1.440	64.76	12
1.294	73.13	6
1.250	76.12	8
1.230	77.61	26
1.184	81.23	9

---

For Sn3Pd10Au11, DFT lattice parameters and positions (PBE) gives the calculated powder X-ray diffraction pattern in this record (Cu Kα (λ = 1.5418 Å)).
Neutral-atom scattering factors, no anomalous dispersion.

Structural model:
Cell: 4.070 4.070 24.623 Å, 90.00 90.00 90.00°
Fractional positions:
Sn (0.000, 0.000, 0.000)
Sn (0.000, 0.000, 0.160)
Sn (0.000, 0.000, 0.839)
Pd (0.000, 0.500, 0.083)
Pd (0.000, 0.500, 0.762)
Pd (0.000, 0.500, 0.921)
Pd (0.500, 0.000, 0.083)
Pd (0.500, 0.000, 0.762)
Pd (0.500, 0.000, 0.921)
Pd (0.500, 0.500, 0.003)
Pd (0.500, 0.500, 0.166)
Pd (0.500, 0.500, 0.681)
Pd (0.500, 0.500, 0.842)
Au (0.000, 0.000, 0.340)
Au (0.000, 0.000, 0.513)
Au (0.000, 0.000, 0.682)
Au (0.000, 0.500, 0.251)
Au (0.000, 0.500, 0.425)
Au (0.000, 0.500, 0.598)
Au (0.500, 0.000, 0.251)
Au (0.500, 0.000, 0.425)
Au (0.500, 0.000, 0.598)
Au (0.500, 0.500, 0.337)
Au (0.500, 0.500, 0.511)

Peak list (12 most intense, 2θ = 15–90°, low angle first)
d/Å	2θ (°)	intensity
2.485	36.15	11
2.356	38.19	100
2.238	40.29	4
2.052	44.14	14
2.035	44.52	34
1.506	61.59	5
1.445	64.49	18
1.439	64.79	11
1.294	73.15	5
1.235	77.21	8
1.228	77.76	26
1.178	81.74	10

---

For SnPd3Au4, DFT lattice parameters and positions (PBE) gives the calculated powder X-ray diffraction pattern in this record (Cu Kα (λ = 1.5418 Å)).
Neutral-atom scattering factors, no anomalous dispersion.

Structural model:
Cell: 5.772 5.772 19.169 Å, 90.00 90.00 120.00°
Fractional positions:
Sn (0.000, 0.000, 0.000)
Sn (0.000, 0.000, 0.352)
Sn (0.333, 0.667, 0.113)
Sn (0.667, 0.333, 0.240)
Pd (0.002, 0.501, 0.358)
Pd (0.168, 0.336, 0.236)
Pd (0.168, 0.832, 0.236)
Pd (0.335, 0.168, 0.118)
Pd (0.499, 0.501, 0.358)
Pd (0.499, 0.998, 0.358)
Pd (0.502, 0.003, 0.995)
Pd (0.502, 0.498, 0.995)
Pd (0.664, 0.832, 0.236)
Pd (0.832, 0.168, 0.118)
Pd (0.832, 0.665, 0.118)
Pd (0.997, 0.498, 0.995)
Au (0.000, 0.000, 0.741)
Au (0.001, 0.500, 0.740)
Au (0.166, 0.332, 0.611)
Au (0.166, 0.834, 0.611)
Au (0.333, 0.667, 0.483)
Au (0.333, 0.667, 0.871)
Au (0.335, 0.168, 0.869)
Au (0.336, 0.168, 0.483)
Au (0.500, 0.500, 0.740)
Au (0.500, 0.999, 0.740)
Au (0.667, 0.333, 0.613)
Au (0.668, 0.834, 0.611)
Au (0.832, 0.168, 0.483)
Au (0.832, 0.168, 0.869)
Au (0.832, 0.664, 0.483)
Au (0.832, 0.665, 0.869)

Peak list (12 most intense, 2θ = 15–90°, low angle first)
d/Å	2θ (°)	intensity
2.418	37.18	39
2.396	37.54	48
2.328	38.68	100
2.216	40.72	16
2.094	43.21	75
1.969	46.11	17
1.443	64.59	32
1.429	65.27	19
1.270	74.75	14
1.236	77.17	36
1.226	77.89	13
1.188	80.91	12

---

For Sn3Pd7Au6, DFT lattice parameters and positions (PBE) gives the calculated powder X-ray diffraction pattern in this record (Cu Kα (λ = 1.5418 Å)).
Neutral-atom scattering factors, no anomalous dispersion.

Structural model:
Cell: 4.085 4.085 16.552 Å, 90.00 90.00 90.00°
Fractional positions:
Sn (0.000, 0.000, 0.000)
Sn (0.000, 0.000, 0.236)
Sn (0.000, 0.000, 0.764)
Pd (0.000, 0.500, 0.120)
Pd (0.000, 0.500, 0.880)
Pd (0.500, 0.000, 0.120)
Pd (0.500, 0.000, 0.880)
Pd (0.500, 0.500, 0.000)
Pd (0.500, 0.500, 0.246)
Pd (0.500, 0.500, 0.754)
Au (0.000, 0.000, 0.500)
Au (0.000, 0.500, 0.371)
Au (0.000, 0.500, 0.629)
Au (0.500, 0.000, 0.371)
Au (0.500, 0.000, 0.629)
Au (0.500, 0.500, 0.500)

Peak list (12 most intense, 2θ = 15–90°, low angle first)
d/Å	2θ (°)	intensity
2.559	35.06	7
2.369	37.99	100
2.069	43.75	15
2.043	44.34	32
1.546	59.83	3
1.454	64.06	20
1.444	64.51	11
1.335	70.57	3
1.258	75.59	2
1.245	76.54	11
1.233	77.38	26
1.184	81.22	10